For Y8Ge3TeSe4, a PBE-relaxed structure gives the computed XRD peak list in this record (CuKα).
No peak broadening, texture or thermal motion is included.

Crystal structure
Lattice parameters (Å, degrees): 8.326 8.326 8.326 60.16 60.16 60.16
Fractional positions:
Y 0.232 0.756 0.756
Y 0.244 0.244 0.768
Y 0.244 0.768 0.244
Y 0.246 0.246 0.246
Y 0.754 0.754 0.754
Y 0.756 0.232 0.756
Y 0.756 0.756 0.232
Y 0.768 0.244 0.244
Ge 0.000 0.000 0.500
Ge 0.000 0.500 0.000
Ge 0.500 0.000 0.000
Te 0.500 0.500 0.500
Se 0.000 0.000 0.000
Se 0.000 0.500 0.500
Se 0.500 0.000 0.500
Se 0.500 0.500 0.000

Main lines, in order of rising 2θ (10 to 90 degrees two-theta):
| 2θ (°) | Rel. int. |
| --- | --- |
| 30.33 | 100 |
| 43.37 | 36 |
| 43.48 | 36 |
| 53.83 | 19 |
| 71.67 | 15 |
| 79.63 | 17 |